(1)
The following is a theoretical PXRD pattern of LiAgO2. It was derived from the GGA-PBE geometry in the Materials Project, using copper Kα.
Kinematic intensities with the Lorentz-polarization factor, no thermal factor.

Largest 10 diffraction maxima, low angle first, 10 to 80 degrees two-theta:
2θ/deg	Rel. int.	hkl
16.6	100	0 0 1
28.3	51	0 1 0
29.3	12	1 0 0
32.9	45	0 1 1
33.5	11	0 0 2
33.8	43	1 0 1
41.1	13	1 1 0
44.6	32	1 1 1
45.1	26	1 0 2
54.1	33	1 1 2

Cell and atoms:
```
data_LiAgO2
_chemical_formula_sum 'Li1 Ag1 O2'
_cell_length_a 3.050
_cell_length_b 3.159
_cell_length_c 5.347
_cell_angle_alpha 90.00
_cell_angle_beta 90.00
_cell_angle_gamma 90.00
_space_group_name_H-M_alt 'P m m m'
_space_group_IT_number 47
loop_
_space_group_symop_operation_xyz
'x,y,z'
'-x,-y,-z'
'-x,-y,z'
'x,y,-z'
'x,-y,-z'
'-x,y,z'
'-x,y,-z'
'x,-y,z'
loop_
_atom_site_label
_atom_site_fract_x
_atom_site_fract_y
_atom_site_fract_z
_atom_site_occupancy
Li1 0.000 0.000 0.000 1
Ag1 0.500 0.500 0.500 1
O1 0.000 0.500 0.245 1
```

(2)
The following is a theoretical PXRD pattern of PmYCu2. It was derived from the GGA-PBE geometry in the Materials Project, using copper Kα.
Kinematic intensities with the Lorentz-polarization factor, no thermal factor.

Largest 10 diffraction maxima, low angle first, 10 to 80 degrees two-theta:
2θ/deg	Rel. int.	hkl
21.8	5	1 1 1
25.2	9	2 0 0
36.0	100	2 2 0
42.5	3	3 1 1
44.5	3	2 2 2
51.8	17	4 0 0
56.9	1	3 3 1
58.5	4	4 2 0
64.7	34	4 2 2
76.4	10	4 4 0

Cell and atoms:
```
data_PmYCu2
_chemical_formula_sum 'Pm4 Y4 Cu8'
_cell_length_a 7.055
_cell_length_b 7.055
_cell_length_c 7.055
_cell_angle_alpha 90.00
_cell_angle_beta 90.00
_cell_angle_gamma 90.00
_space_group_name_H-M_alt 'F m -3 m'
_space_group_IT_number 225
_space_group_name_Hall '-F 4 2 3'
loop_
_atom_site_label
_atom_site_fract_x
_atom_site_fract_y
_atom_site_fract_z
_atom_site_occupancy
Pm1 0.000 0.000 0.000 1
Y1 0.000 0.000 0.500 1
Cu1 0.250 0.250 0.250 1
```

(3)
The following is a theoretical PXRD pattern of Cs2ErCl5. It was derived from the GGA-PBE geometry in the Materials Project, using copper Kα.
Kinematic intensities with the Lorentz-polarization factor, no thermal factor.

Largest 10 diffraction maxima, low angle first, 10 to 80 degrees two-theta:
2θ/deg	Rel. int.	hkl
20.8	100	0 1 3
21.5	43	2 0 2
21.7	35	2 1 0
22.4	30	2 1 1
23.6	53	0 2 0
24.6	37	2 1 2
30.5	34	2 2 1
32.1	54	2 2 2
34.7	48	0 0 6
47.7	34	4 2 3

Cell and atoms:
```
data_Cs2ErCl5
_chemical_formula_sum 'Cs8 Er4 Cl20'
_cell_length_a 9.759
_cell_length_b 7.549
_cell_length_c 15.547
_cell_angle_alpha 90.00
_cell_angle_beta 90.00
_cell_angle_gamma 90.00
_space_group_name_H-M_alt 'P n m a'
_space_group_IT_number 62
loop_
_space_group_symop_operation_xyz
'x,y,z'
'-x,-y,-z'
'-x+1/2,-y,z+1/2'
'x+1/2,y,-z+1/2'
'x+1/2,-y+1/2,-z+1/2'
'-x+1/2,y+1/2,z+1/2'
'-x,y+1/2,-z'
'x,-y+1/2,z'
loop_
_atom_site_label
_atom_site_fract_x
_atom_site_fract_y
_atom_site_fract_z
_atom_site_occupancy
Cs1 0.024 0.250 0.212 1
Cs2 0.165 0.750 0.417 1
Er1 0.175 0.750 0.064 1
Cl1 0.000 0.000 0.000 1
Cl2 0.022 0.750 0.199 1
Cl3 0.170 0.001 0.617 1
Cl4 0.215 0.250 0.410 1
```

(4)
The following is a theoretical PXRD pattern of BaMg6W. It was derived from the GGA-PBE geometry in the Materials Project, using copper Kα.
Kinematic intensities with the Lorentz-polarization factor, no thermal factor.

Largest 10 diffraction maxima, low angle first, 10 to 80 degrees two-theta:
2θ/deg	Rel. int.	hkl
15.5	100	0 1 1
23.2	77	1 0 2
32.1	41	1 1 3
34.8	28	2 0 0
35.8	30	1 0 4
35.9	83	1 2 2
38.3	22	2 1 1
41.6	18	0 1 5
47.4	22	2 0 4
63.1	21	3 2 2

Cell and atoms:
```
data_BaMg6W
_chemical_formula_sum 'Ba2 Mg12 W2'
_cell_length_a 5.158
_cell_length_b 6.600
_cell_length_c 11.494
_cell_angle_alpha 90.00
_cell_angle_beta 90.00
_cell_angle_gamma 90.00
_space_group_name_H-M_alt 'A m m 2'
_space_group_IT_number 38
loop_
_space_group_symop_operation_xyz
'x,y,z'
'-x,-y,z'
'-x,y,z'
'x,-y,z'
'x,y+1/2,z+1/2'
'-x,-y+1/2,z+1/2'
'-x,y+1/2,z+1/2'
'x,-y+1/2,z+1/2'
loop_
_atom_site_label
_atom_site_fract_x
_atom_site_fract_y
_atom_site_fract_z
_atom_site_occupancy
Ba1 0.000 0.000 0.000 1
Mg1 0.000 0.000 0.501 1
Mg2 0.000 0.226 0.755 1
Mg3 0.500 0.000 0.332 1
Mg4 0.500 0.228 0.594 1
W1 0.500 0.000 0.813 1
```

(5)
The following is a theoretical PXRD pattern of Ba2ErTaO6. It was derived from the GGA-PBE geometry in the Materials Project, using copper Kα.
Kinematic intensities with the Lorentz-polarization factor, no thermal factor.

Largest 9 diffraction maxima, low angle first, 10 to 80 degrees two-theta:
2θ/deg	Rel. int.	hkl
20.9	5	2 0 0
29.7	100	2 2 0
42.5	28	4 0 0
47.9	2	4 2 0
52.8	41	4 2 2
61.7	18	4 4 0
65.9	1	6 0 0
70.0	18	6 2 0
77.9	6	4 4 4

Cell and atoms:
```
data_Ba2ErTaO6
_chemical_formula_sum 'Ba8 Er4 Ta4 O24'
_cell_length_a 8.500
_cell_length_b 8.500
_cell_length_c 8.500
_cell_angle_alpha 90.00
_cell_angle_beta 90.00
_cell_angle_gamma 90.00
_space_group_name_H-M_alt 'F m -3 m'
_space_group_IT_number 225
_space_group_name_Hall '-F 4 2 3'
loop_
_atom_site_label
_atom_site_fract_x
_atom_site_fract_y
_atom_site_fract_z
_atom_site_occupancy
Ba1 0.250 0.250 0.250 1
Er1 0.000 0.000 0.000 1
Ta1 0.000 0.000 0.500 1
O1 0.000 0.000 0.263 1
```

(6)
The following is a theoretical PXRD pattern of Ba3Ti2N4. It was derived from the GGA-PBE geometry in the Materials Project, using copper Kα.
Kinematic intensities with the Lorentz-polarization factor, no thermal factor.

Largest 10 diffraction maxima, low angle first, 10 to 80 degrees two-theta:
2θ/deg	Rel. int.	hkl
23.4	20	3 1 0
24.3	21	0 2 1
27.2	61	3 1 -1
28.5	100	2 2 1
31.6	38	1 1 -2
33.3	21	2 0 2
37.1	30	5 1 0
39.1	27	3 3 -1
39.3	22	0 4 0
42.4	19	1 3 -2

Cell and atoms:
```
data_Ba3Ti2N4
_chemical_formula_sum 'Ba12 Ti8 N16'
_cell_length_a 12.567
_cell_length_b 9.177
_cell_length_c 6.068
_cell_angle_alpha 90.00
_cell_angle_beta 92.32
_cell_angle_gamma 90.00
_space_group_name_H-M_alt 'C 1 2/c 1'
_space_group_IT_number 15
loop_
_space_group_symop_operation_xyz
'x,y,z'
'-x,-y,-z'
'-x,y,-z+1/2'
'x,-y,z+1/2'
'x+1/2,y+1/2,z'
'-x+1/2,-y+1/2,-z'
'-x+1/2,y+1/2,-z+1/2'
'x+1/2,-y+1/2,z+1/2'
loop_
_atom_site_label
_atom_site_fract_x
_atom_site_fract_y
_atom_site_fract_z
_atom_site_occupancy
Ba1 0.000 0.099 0.250 1
Ba2 0.120 0.363 0.558 1
Ti1 0.208 0.116 0.930 1
N1 0.147 0.309 0.020 1
N2 0.183 0.054 0.621 1
```

(7)
The following is a theoretical PXRD pattern of HgBi3. It was derived from the GGA-PBE geometry in the Materials Project, using copper Kα.
Kinematic intensities with the Lorentz-polarization factor, no thermal factor.

Largest 9 diffraction maxima, low angle first, 10 to 80 degrees two-theta:
2θ/deg	Rel. int.	hkl
31.4	100	1 1 2
35.1	37	2 0 0
38.9	14	0 0 4
50.5	14	2 2 0
53.4	23	2 0 4
60.7	32	3 1 2
65.5	13	2 2 4
65.7	13	1 1 6
74.3	5	4 0 0

Cell and atoms:
```
data_HgBi3
_chemical_formula_sum 'Hg2 Bi6'
_cell_length_a 5.108
_cell_length_b 5.108
_cell_length_c 9.270
_cell_angle_alpha 90.00
_cell_angle_beta 90.00
_cell_angle_gamma 90.00
_space_group_name_H-M_alt 'I 4/m m m'
_space_group_IT_number 139
_space_group_name_Hall '-I 4 2'
loop_
_atom_site_label
_atom_site_fract_x
_atom_site_fract_y
_atom_site_fract_z
_atom_site_occupancy
Hg1 0.000 0.000 0.000 1
Bi1 0.000 0.000 0.500 1
Bi2 0.000 0.500 0.250 1
```

(8)
The following is a theoretical PXRD pattern of NbP2. It was derived from the GGA-PBE geometry in the Materials Project, using copper Kα.
Kinematic intensities with the Lorentz-polarization factor, no thermal factor.

Largest 10 diffraction maxima, low angle first, 10 to 80 degrees two-theta:
2θ/deg	Rel. int.	hkl
20.1	61	2 0 -1
25.5	42	2 0 -2
30.0	43	1 1 -1
34.8	100	1 1 1
40.9	34	0 0 3
42.3	45	3 1 -2
44.1	43	1 1 2
44.4	53	3 1 0
46.1	33	1 1 -3
47.8	39	3 1 -3

Cell and atoms:
```
data_NbP2
_chemical_formula_sum 'Nb4 P8'
_cell_length_a 8.913
_cell_length_b 3.293
_cell_length_c 7.566
_cell_angle_alpha 90.00
_cell_angle_beta 118.99
_cell_angle_gamma 90.00
_space_group_name_H-M_alt 'C 1 2/m 1'
_space_group_IT_number 12
loop_
_space_group_symop_operation_xyz
'x,y,z'
'-x,-y,-z'
'-x,y,-z'
'x,-y,z'
'x+1/2,y+1/2,z'
'-x+1/2,-y+1/2,-z'
'-x+1/2,y+1/2,-z'
'x+1/2,-y+1/2,z'
loop_
_atom_site_label
_atom_site_fract_x
_atom_site_fract_y
_atom_site_fract_z
_atom_site_occupancy
Nb1 0.160 0.000 0.201 1
P1 0.096 0.500 0.898 1
P2 0.133 0.000 0.526 1
```

(9)
The following is a theoretical PXRD pattern of Li2CuGe. It was derived from the GGA-PBE geometry in the Materials Project, using copper Kα.
Kinematic intensities with the Lorentz-polarization factor, no thermal factor.

Largest 10 diffraction maxima, low angle first, 10 to 80 degrees two-theta:
2θ/deg	Rel. int.	hkl
25.8	78	0 1 1
26.1	75	1 0 1
42.2	25	0 2 0
42.9	26	2 0 0
43.3	100	1 1 2
50.3	22	1 2 1
50.7	24	2 1 1
61.7	16	2 2 0
77.9	14	1 3 2
78.9	16	3 1 2

Cell and atoms:
```
data_Li2CuGe
_chemical_formula_sum 'Li4 Cu2 Ge2'
_cell_length_a 4.216
_cell_length_b 4.284
_cell_length_c 5.823
_cell_angle_alpha 90.00
_cell_angle_beta 90.00
_cell_angle_gamma 90.00
_space_group_name_H-M_alt 'P m n 21'
_space_group_IT_number 31
loop_
_space_group_symop_operation_xyz
'x,y,z'
'-x+1/2,-y,z+1/2'
'-x,y,z'
'x+1/2,-y,z+1/2'
loop_
_atom_site_label
_atom_site_fract_x
_atom_site_fract_y
_atom_site_fract_z
_atom_site_occupancy
Li1 0.000 0.214 0.000 1
Li2 0.000 0.717 0.250 1
Cu1 0.000 0.228 0.499 1
Ge1 0.000 0.728 0.751 1
```